Structure and computed XRD peak list of BeCo2Mo (DFT lattice parameters and positions (PBE); CuKα).
Lines closer than 0.1° are merged.

Top 10 peaks for 15 to 90 degrees two-theta, low angle first:
- 2θ = 27.89°, d = 3.199 Å, intensity 58
- 2θ = 44.20°, d = 2.049 Å, intensity 100
- 2θ = 47.09°, d = 1.930 Å, intensity 14
- 2θ = 50.35°, d = 1.812 Å, intensity 17
- 2θ = 50.54°, d = 1.806 Å, intensity 16
- 2θ = 53.56°, d = 1.711 Å, intensity 14
- 2θ = 58.56°, d = 1.576 Å, intensity 7
- 2θ = 74.10°, d = 1.279 Å, intensity 13
- 2θ = 76.58°, d = 1.244 Å, intensity 9
- 2θ = 76.74°, d = 1.242 Å, intensity 9

Cell lengths 4.273, 4.273, 4.273 Å; angles 130.00, 129.80, 73.57 degrees
Element x y z (fractional)
Be: 0.000 0.000 0.000
Co: 0.250 0.750 0.500
Co: 0.750 0.250 0.500
Mo: 0.500 0.500 0.000

=====

Structure and computed XRD peak list of Be11NbCo (DFT lattice parameters and positions (PBE); CuKα).
Lines closer than 0.1° are merged.

Top 10 peaks for 15 to 90 degrees two-theta, low angle first:
- 2θ = 16.92°, d = 5.241 Å, intensity 100
- 2θ = 24.06°, d = 3.699 Å, intensity 88
- 2θ = 34.15°, d = 2.626 Å, intensity 21
- 2θ = 34.24°, d = 2.619 Å, intensity 55
- 2θ = 34.52°, d = 2.598 Å, intensity 37
- 2θ = 38.35°, d = 2.347 Å, intensity 30
- 2θ = 42.49°, d = 2.127 Å, intensity 26
- 2θ = 49.16°, d = 1.853 Å, intensity 41
- 2θ = 49.28°, d = 1.849 Å, intensity 22
- 2θ = 49.72°, d = 1.834 Å, intensity 20

Cell lengths 5.654, 5.654, 5.635 Å; angles 97.84, 97.84, 135.93 degrees
Element x y z (fractional)
Be: 0.000 0.000 0.000
Be: 0.000 0.500 0.500
Be: 0.003 0.786 0.284
Be: 0.166 0.517 0.149
Be: 0.214 0.997 0.716
Be: 0.483 0.834 0.851
Be: 0.500 0.000 0.500
Be: 0.517 0.166 0.149
Be: 0.786 0.003 0.284
Be: 0.834 0.483 0.851
Be: 0.997 0.214 0.716
Nb: 0.500 0.500 0.500
Co: 0.500 0.500 0.000

=====

Structure and computed XRD peak list of Be4NbCo (DFT lattice parameters and positions (PBE); CuKα).
Lines closer than 0.1° are merged.

Top 10 peaks for 15 to 90 degrees two-theta, low angle first:
- 2θ = 15.24°, d = 5.815 Å, intensity 28
- 2θ = 24.98°, d = 3.564 Å, intensity 100
- 2θ = 29.53°, d = 3.025 Å, intensity 69
- 2θ = 34.21°, d = 2.621 Å, intensity 52
- 2θ = 39.05°, d = 2.306 Å, intensity 69
- 2θ = 42.15°, d = 2.144 Å, intensity 21
- 2θ = 42.83°, d = 2.111 Å, intensity 65
- 2θ = 50.51°, d = 1.807 Å, intensity 20
- 2θ = 51.27°, d = 1.782 Å, intensity 21
- 2θ = 56.11°, d = 1.639 Å, intensity 20

Cell lengths 6.051, 3.564, 5.815 Å; angles 90.00, 90.00, 90.00 degrees
Element x y z (fractional)
Be: 0.000 0.000 0.000
Be: 0.059 0.500 0.315
Be: 0.250 0.500 0.972
Be: 0.441 0.500 0.315
Be: 0.500 0.000 0.000
Be: 0.559 0.500 0.685
Be: 0.750 0.500 0.028
Be: 0.941 0.500 0.685
Nb: 0.250 0.000 0.636
Nb: 0.750 0.000 0.364
Co: 0.250 0.000 0.222
Co: 0.750 0.000 0.778

=====

Structure and computed XRD peak list of Be17CoNi (DFT lattice parameters and positions (PBE); CuKα).
Lines closer than 0.1° are merged.

Top 10 peaks for 15 to 90 degrees two-theta, low angle first:
- 2θ = 16.65°, d = 5.325 Å, intensity 43
- 2θ = 22.04°, d = 4.032 Å, intensity 55
- 2θ = 24.98°, d = 3.564 Å, intensity 30
- 2θ = 25.12°, d = 3.545 Å, intensity 87
- 2θ = 33.66°, d = 2.663 Å, intensity 21
- 2θ = 35.72°, d = 2.514 Å, intensity 100
- 2θ = 42.46°, d = 2.129 Å, intensity 24
- 2θ = 44.25°, d = 2.047 Å, intensity 43
- 2θ = 44.90°, d = 2.019 Å, intensity 22
- 2θ = 51.51°, d = 1.774 Å, intensity 100

Cell lengths 5.428, 5.428, 5.428 Å; angles 81.56, 81.56, 81.56 degrees
Element x y z (fractional)
Be: 0.000 0.500 0.500
Be: 0.055 0.055 0.055
Be: 0.157 0.157 0.655
Be: 0.157 0.468 0.843
Be: 0.157 0.655 0.157
Be: 0.157 0.843 0.468
Be: 0.255 0.255 0.255
Be: 0.324 0.806 0.806
Be: 0.468 0.157 0.843
Be: 0.468 0.843 0.157
Be: 0.500 0.000 0.500
Be: 0.500 0.500 0.000
Be: 0.655 0.157 0.157
Be: 0.806 0.324 0.806
Be: 0.806 0.806 0.324
Be: 0.843 0.157 0.468
Be: 0.843 0.468 0.157
Co: 0.475 0.475 0.475
Ni: 0.825 0.825 0.825